# LiFe2OF5
Simulated XRD peak list, Cu Kα X-rays. Input: a DFT-relaxed cell (PBE+U, Alexandria).
Intensities are scaled so that the largest is 100.

The 10 most intense peaks (10 to 90 degrees two-theta), sorted by position:
- 19.3 deg, I 25.7
- 21.1 deg, I 58.9
- 26.7 deg, I 100.0
- 33.1 deg, I 21.6
- 34.8 deg, I 38.6
- 39.9 deg, I 38.0
- 52.5 deg, I 30.6
- 52.6 deg, I 33.2
- 54.9 deg, I 21.7
- 66.7 deg, I 19.9

Cell lengths 4.7288, 4.7262, 10.3467 Å; angles 90.00, 117.04, 90.00 degrees
Space group Pc (No. 7)
Asymmetric unit:
Li 0.0000 0.2472 0.0000 x2
Fe 0.3196 0.2427 0.3190 x2
Fe 0.7015 0.2240 0.6643 x2
O 0.9829 0.0563 0.1699 x2
F 0.0417 0.4438 0.8290 x2
F 0.3159 0.0592 0.4953 x2
F 0.3991 0.4671 0.1741 x2
F 0.6406 0.0459 0.8271 x2
F 0.6903 0.4353 0.4930 x2